# 1
For Sr4Sn3Hg, the GGA-PBE geometry in Alexandria gives the theoretical X-ray powder pattern in this record (Cu Kα X-rays).
Neutral-atom scattering factors, no anomalous dispersion.

Peak list (10 most intense, 5 to 70 degrees two-theta, low angle first)
2θ 21.70, I = 6.2; 2θ 30.88, I = 52.3; 2θ 31.43, I = 100.0; 2θ 38.52, I = 3.2; 2θ 44.24, I = 19.6; 2θ 45.83, I = 9.1; 2θ 55.27, I = 40.9; 2θ 56.29, I = 19.4; 2θ 64.35, I = 6.5; 2θ 65.59, I = 12.4

Cell and atoms:
```
data_Sr4Sn3Hg
_chemical_formula_sum 'Sr8 Sn6 Hg2'
_cell_length_a 11.585
_cell_length_b 7.919
_cell_length_c 5.790
_cell_angle_alpha 90.00
_cell_angle_beta 90.00
_cell_angle_gamma 90.00
_space_group_name_H-M_alt 'P 1'
_space_group_IT_number 1
_space_group_name_Hall 'P 1'
loop_
_atom_site_label
_atom_site_type_symbol
_atom_site_fract_x
_atom_site_fract_y
_atom_site_fract_z
Sr1 Sr 0.000 0.250 0.000
Sr2 Sr 0.000 0.750 0.000
Sr3 Sr 0.250 0.250 0.499
Sr4 Sr 0.250 0.750 0.499
Sr5 Sr 0.500 0.250 0.000
Sr6 Sr 0.500 0.750 0.000
Sr7 Sr 0.750 0.250 0.501
Sr8 Sr 0.750 0.750 0.501
Sn1 Sn 0.000 0.000 0.500
Sn2 Sn 0.250 0.000 0.998
Sn3 Sn 0.250 0.500 0.999
Sn4 Sn 0.500 0.000 0.500
Sn5 Sn 0.750 0.000 0.002
Sn6 Sn 0.750 0.500 0.001
Hg1 Hg 0.000 0.500 0.500
Hg2 Hg 0.500 0.500 0.500
```

# 2
For SrSnHg14, the GGA-PBE geometry in Alexandria gives the theoretical X-ray powder pattern in this record (Cu Kα X-rays).
Neutral-atom scattering factors, no anomalous dispersion.

Peak list (10 most intense, 5 to 70 degrees two-theta, low angle first)
2θ 28.38, I = 50.0; 2θ 29.90, I = 98.9; 2θ 31.08, I = 100.0; 2θ 31.57, I = 42.8; 2θ 33.48, I = 96.1; 2θ 38.72, I = 41.1; 2θ 40.33, I = 69.6; 2θ 43.69, I = 61.4; 2θ 45.47, I = 41.0; 2θ 45.69, I = 43.7

Cell and atoms:
```
data_SrSnHg14
_chemical_formula_sum 'Sr2 Sn2 Hg28'
_cell_length_a 10.782
_cell_length_b 10.782
_cell_length_c 10.782
_cell_angle_alpha 115.48
_cell_angle_beta 112.58
_cell_angle_gamma 100.71
_space_group_name_H-M_alt 'P 1'
_space_group_IT_number 1
_space_group_name_Hall 'P 1'
loop_
_atom_site_label
_atom_site_type_symbol
_atom_site_fract_x
_atom_site_fract_y
_atom_site_fract_z
Sr1 Sr 0.319 0.069 0.250
Sr2 Sr 0.681 0.931 0.750
Sn1 Sn 0.000 0.500 0.500
Sn2 Sn 0.500 0.500 0.000
Hg1 Hg 0.002 0.230 0.059
Hg2 Hg 0.002 0.943 0.772
Hg3 Hg 0.028 0.152 0.625
Hg4 Hg 0.028 0.403 0.875
Hg5 Hg 0.194 0.555 0.368
Hg6 Hg 0.194 0.826 0.640
Hg7 Hg 0.250 0.349 0.599
Hg8 Hg 0.250 0.650 0.901
Hg9 Hg 0.314 0.174 0.868
Hg10 Hg 0.314 0.445 0.140
Hg11 Hg 0.329 0.057 0.559
Hg12 Hg 0.329 0.770 0.272
Hg13 Hg 0.466 0.586 0.620
Hg14 Hg 0.466 0.845 0.880
Hg15 Hg 0.534 0.155 0.120
Hg16 Hg 0.534 0.414 0.380
Hg17 Hg 0.671 0.230 0.728
Hg18 Hg 0.671 0.943 0.441
Hg19 Hg 0.686 0.555 0.860
Hg20 Hg 0.686 0.826 0.132
Hg21 Hg 0.750 0.350 0.099
Hg22 Hg 0.750 0.651 0.401
Hg23 Hg 0.806 0.174 0.360
Hg24 Hg 0.806 0.445 0.632
Hg25 Hg 0.972 0.597 0.125
Hg26 Hg 0.972 0.848 0.375
Hg27 Hg 0.998 0.057 0.228
Hg28 Hg 0.998 0.770 0.941
```